1.
MgCd6Ag: simulated X-ray powder pattern (Cu Kα (λ = 1.5418 Å)), based on a GGA-PBE-relaxed structure.

The 10 most intense peaks (5 to 70 degrees two-theta), by intensity:
2θ/deg  I (rel.)  (hkl)
37.9  100  2 0 1
33.0  25  2 0 0
36.7  24  0 0 2
59.0  18  2 2 0
66.9  18  2 0 3
50.2  15  2 0 2
16.3  6  1 0 0
24.5  5  1 0 1
69.3  3  4 0 0
34.0  2  1 1 1

Atomic structure:
```
data_MgCd6Ag
_chemical_formula_sum 'Mg1 Cd6 Ag1'
_cell_length_a 6.2657
_cell_length_b 6.2657
_cell_length_c 4.9005
_cell_angle_alpha 90.00
_cell_angle_beta 90.00
_cell_angle_gamma 120.00
_symmetry_space_group_name_H-M 'P -6 m 2'
_symmetry_Int_Tables_number 187
_symmetry_space_group_name_Hall 'P -6 2'
loop_
_atom_site_label
_atom_site_type_symbol
_atom_site_fract_x
_atom_site_fract_y
_atom_site_fract_z
Mg1 Mg 0.0000 0.0000 0.0000
Cd1 Cd 0.1652 0.3305 0.5000
Cd2 Cd 0.5020 0.0040 0.0000
Ag1 Ag 0.6667 0.3333 0.5000
```

***

2.
Y2ScIn3Pt2: simulated X-ray powder pattern (Cu Kα (λ = 1.5418 Å)), based on a GGA-PBE-relaxed structure.

The 10 most intense peaks (5 to 70 degrees two-theta), by intensity:
2θ/deg  I (rel.)  (hkl)
34.4  100  1 0 2
37.1  65  1 4 0
35.8  59  0 4 2
64.2  37  2 4 2
25.1  36  1 0 0
35.9  30  0 1 3
44.2  26  1 4 2
23.2  23  0 3 1
40.8  21  0 3 3
13.3  20  0 2 0

Atomic structure:
```
data_Y2ScIn3Pt2
_chemical_formula_sum 'Y4 Sc2 In6 Pt4'
_cell_length_a 3.5539
_cell_length_b 13.2972
_cell_length_c 7.6456
_cell_angle_alpha 90.00
_cell_angle_beta 90.00
_cell_angle_gamma 90.00
_symmetry_space_group_name_H-M 'A m m 2'
_symmetry_Int_Tables_number 38
_symmetry_space_group_name_Hall 'A 2 -2'
loop_
_atom_site_label
_atom_site_type_symbol
_atom_site_fract_x
_atom_site_fract_y
_atom_site_fract_z
Y1 Y 0.0000 0.2099 0.0000
Sc1 Sc 0.0000 0.0000 0.6331
In1 In 0.5000 0.0000 0.9725
In2 In 0.5000 0.1133 0.3290
Pt1 Pt 0.5000 0.1591 0.7059
```

***

3.
Os2Br: simulated X-ray powder pattern (Cu Kα (λ = 1.5418 Å)), based on a GGA-PBE-relaxed structure.

The 8 most intense peaks (5 to 70 degrees two-theta), by intensity:
2θ/deg  I (rel.)  (hkl)
39.7  100  3 1 1
41.6  69  2 2 2
20.4  49  1 1 1
64.3  32  5 1 1
48.4  21  4 0 0
53.0  12  3 3 1
33.7  9  2 2 0
60.2  3  4 2 2

Atomic structure:
a = 7.5257 Å, b = 7.5257 Å, c = 7.5257 Å
α = 90.00°, β = 90.00°, γ = 90.00°
Space group Fd-3m (No. 227, origin choice 2)
Inequivalent atoms, fractional coordinates:
Os 0.0000 0.0000 0.0000 x16
Br 0.1250 0.1250 0.6250 x8

***

4.
Zr4Co3Mo2C3: simulated X-ray powder pattern (Cu Kα (λ = 1.5418 Å)), based on a GGA-PBE-relaxed structure.

The 10 most intense peaks (5 to 70 degrees two-theta), by intensity:
2θ/deg  I (rel.)  (hkl)
38.7  100  0 2 3
32.4  27  0 2 0
57.9  14  3 3 -1
42.0  12  0 0 6
33.2  12  3 1 -2
54.0  7  3 1 -7
57.7  6  6 0 -2
43.1  6  3 1 -5
60.3  5  3 1 -8
27.6  5  0 0 4

Atomic structure:
```
data_Zr4Co3Mo2C3
_chemical_formula_sum 'Zr16 Co12 Mo8 C12'
_cell_length_a 9.5798
_cell_length_b 5.5103
_cell_length_c 13.3085
_cell_angle_alpha 90.00
_cell_angle_beta 103.85
_cell_angle_gamma 90.00
_symmetry_space_group_name_H-M 'C 1 2/c 1'
_symmetry_Int_Tables_number 15
_symmetry_space_group_name_Hall '-C 2yc'
loop_
_atom_site_label
_atom_site_type_symbol
_atom_site_fract_x
_atom_site_fract_y
_atom_site_fract_z
Zr1 Zr 0.1190 0.0777 0.1097
Zr2 Zr 0.2118 0.0867 0.3906
Co1 Co 0.0000 0.1457 0.7500
Co2 Co 0.1264 0.4523 0.2496
Mo1 Mo 0.0600 0.4113 0.9192
C1 C 0.0815 0.2543 0.4996
C2 C 0.2500 0.2500 0.0000
```

***

5.
TePd14: simulated X-ray powder pattern (Cu Kα (λ = 1.5418 Å)), based on a GGA-PBE-relaxed structure.

The 10 most intense peaks (5 to 70 degrees two-theta), by intensity:
2θ/deg  I (rel.)  (hkl)
7.0  100  0 0 2
40.0  83  1 -2 0
46.6  49  2 0 7
38.8  46  0 1 -10
39.5  37  2 1 -3
44.9  31  -1 1 10
40.7  26  2 1 -4
37.9  21  1 2 6
47.7  14  1 3 -4
44.6  14  2 0 6

Atomic structure:
```
data_TePd14
_chemical_formula_sum 'Te2 Pd28'
_cell_length_a 4.7866
_cell_length_b 6.1195
_cell_length_c 25.4058
_cell_angle_alpha 89.10
_cell_angle_beta 89.96
_cell_angle_gamma 75.50
_symmetry_space_group_name_H-M 'P -1'
_symmetry_Int_Tables_number 2
_symmetry_space_group_name_Hall '-P 1'
loop_
_atom_site_label
_atom_site_type_symbol
_atom_site_fract_x
_atom_site_fract_y
_atom_site_fract_z
Te1 Te 0.2125 0.0975 0.3007
Pd1 Pd 0.0661 0.0395 0.9050
Pd2 Pd 0.0720 0.0335 0.1992
Pd3 Pd 0.0731 0.5374 0.7531
Pd4 Pd 0.0751 0.5348 0.0526
Pd5 Pd 0.2096 0.6103 0.8624
Pd6 Pd 0.2152 0.1063 0.0108
Pd7 Pd 0.2178 0.6023 0.1586
Pd8 Pd 0.2201 0.1033 0.7129
Pd9 Pd 0.3510 0.1853 0.8203
Pd10 Pd 0.3549 0.6798 0.9681
Pd11 Pd 0.3560 0.6772 0.2655
Pd12 Pd 0.3635 0.1760 0.1158
Pd13 Pd 0.4947 0.2527 0.9260
Pd14 Pd 0.4988 0.7462 0.7769
```

***

6.
B2W5C6: simulated X-ray powder pattern (Cu Kα (λ = 1.5418 Å)), based on a GGA-PBE-relaxed structure.

The 10 most intense peaks (5 to 70 degrees two-theta), by intensity:
2θ/deg  I (rel.)  (hkl)
38.2  100  0 1 3
40.5  99  1 0 4
35.4  69  1 0 1
14.7  54  0 0 3
34.8  49  0 0 7
54.2  39  1 0 8
62.9  38  1 1 0
43.3  35  0 1 5
67.9  27  1 0 11
19.7  23  0 0 4

Atomic structure:
```
data_B2W5C6
_chemical_formula_sum 'B2 W5 C6'
_cell_length_a 2.9563
_cell_length_b 2.9563
_cell_length_c 18.0250
_cell_angle_alpha 90.00
_cell_angle_beta 90.00
_cell_angle_gamma 120.00
_symmetry_space_group_name_H-M 'P -3 m 1'
_symmetry_Int_Tables_number 164
_symmetry_space_group_name_Hall '-P 3 2"'
loop_
_atom_site_label
_atom_site_type_symbol
_atom_site_fract_x
_atom_site_fract_y
_atom_site_fract_z
B1 B 0.3333 0.6667 0.1644
W1 W 0.0000 0.0000 0.0000
W2 W 0.3333 0.6667 0.4361
W3 W 0.3333 0.6667 0.7046
C1 C 0.0000 0.0000 0.3657
C2 C 0.3333 0.6667 0.0718
C3 C 0.3333 0.6667 0.8172
```

***

7.
PdI3: simulated X-ray powder pattern (Cu Kα (λ = 1.5418 Å)), based on a GGA-PBE-relaxed structure.

The 10 most intense peaks (5 to 70 degrees two-theta), by intensity:
2θ/deg  I (rel.)  (hkl)
28.6  100  1 3 1
14.4  47  0 2 0
37.4  40  2 3 1
44.1  32  0 6 0
49.1  22  3 3 1
53.4  15  1 6 2
27.3  13  2 0 0
52.7  11  2 6 0
59.2  10  2 6 2
40.3  9  2 4 0

Atomic structure:
```
data_PdI3
_chemical_formula_sum 'Pd4 I12'
_cell_length_a 6.5225
_cell_length_b 12.3208
_cell_length_c 7.1133
_cell_angle_alpha 90.00
_cell_angle_beta 90.00
_cell_angle_gamma 90.00
_symmetry_space_group_name_H-M 'P m m n'
_symmetry_Int_Tables_number 59
loop_
_symmetry_equiv_pos_as_xyz
'x,y,z'
'-x,-y,-z'
'-x+1/2,-y+1/2,z'
'x+1/2,y+1/2,-z'
'x+1/2,-y,-z'
'-x+1/2,y,z'
'-x,y+1/2,-z'
'x,-y+1/2,z'
loop_
_atom_site_label
_atom_site_type_symbol
_atom_site_fract_x
_atom_site_fract_y
_atom_site_fract_z
Pd1 Pd 0.0007 0.2500 0.2501
I1 I 0.2500 0.0927 0.0927
I2 I 0.2500 0.2500 0.5647
I3 I 0.2500 0.5933 0.5932
I4 I 0.2500 0.7500 0.0634
```

***

8.
TlBi5Au3: simulated X-ray powder pattern (Cu Kα (λ = 1.5418 Å)), based on a GGA-PBE-relaxed structure.

The 10 most intense peaks (5 to 70 degrees two-theta), by intensity:
2θ/deg  I (rel.)  (hkl)
41.3  100  2 0 2
30.5  67  1 1 0
27.1  49  1 0 2
36.9  41  2 0 1
31.1  33  0 0 3
10.3  28  0 0 1
63.5  27  2 2 0
35.9  23  1 0 3
32.3  22  1 1 1
56.0  18  2 0 4

Atomic structure:
```
data_TlBi5Au3
_chemical_formula_sum 'Tl1 Bi5 Au3'
_cell_length_a 5.8589
_cell_length_b 5.8589
_cell_length_c 8.6246
_cell_angle_alpha 90.00
_cell_angle_beta 90.00
_cell_angle_gamma 120.00
_symmetry_space_group_name_H-M 'P 6/m m m'
_symmetry_Int_Tables_number 191
_symmetry_space_group_name_Hall '-P 6 2'
loop_
_atom_site_label
_atom_site_type_symbol
_atom_site_fract_x
_atom_site_fract_y
_atom_site_fract_z
Tl1 Tl 0.0000 0.0000 0.0000
Bi1 Bi 0.0000 0.0000 0.5000
Bi2 Bi 0.3333 0.6667 0.1987
Au1 Au 0.0000 0.5000 0.5000
```

***

Number 4 is which compound?
Zr4Co3Mo2C3